(1)
Diffraction record for Er6InOs. The XRD peak list is theoretical, not measured: it uses a structure optimized by DFT (PBE) and Cu Kα.
Peak positions follow from Bragg's law for the DFT cell and can differ from measured ones.

Top 12 peaks for 10° ≤ 2θ ≤ 90°, low angle first:
d (Å), 2θ (°), Rel. int., hkl
5.655, 15.67, 15, 0 1 0
5.025, 17.65, 17, -1 1 1
3.703, 24.03, 26, 1 0 -2
3.162, 28.22, 17, 0 0 2
3.010, 29.68, 100, 1 -2 1
3.002, 29.76, 23, -2 1 2
2.828, 31.64, 19, 2 0 -2
2.323, 38.76, 46, 1 1 1
2.317, 38.87, 11, -2 1 3
1.975, 45.95, 35, -3 3 1
1.795, 50.87, 25, 2 -1 2
1.652, 55.65, 12, -2 4 1

Crystal structure
```
data_Er6InOs
_space_group_name_H-M_alt 'P -1'
_space_group_IT_number 2
_cell_length_a 6.8326
_cell_length_b 6.8455
_cell_length_c 7.4459
_cell_angle_alpha 90.13
_cell_angle_beta 117.14
_cell_angle_gamma 119.93
loop_
_space_group_symop_operation_xyz
'x,y,z'
'-x,-y,-z'
loop_
_atom_site_label
_atom_site_type_symbol
_atom_site_fract_x
_atom_site_fract_y
_atom_site_fract_z
Er1 Er 0.0449 0.0812 0.2555
Er2 Er 0.2917 0.7103 0.2552
Er3 Er 0.3243 0.5356 0.7448
In1 In 0.5000 0.0000 0.0000
Os1 Os 0.5000 0.5000 0.5000
```

(2)
Diffraction record for ErScInOs. The XRD peak list is theoretical, not measured: it uses a structure optimized by DFT (PBE) and Cu Kα.
Peak positions follow from Bragg's law for the DFT cell and can differ from measured ones.

Top 12 peaks for 10° ≤ 2θ ≤ 90°, low angle first:
d (Å), 2θ (°), Rel. int., hkl
7.523, 11.76, 29, 0 0 1
3.065, 29.13, 16, 1 0 1
2.505, 35.85, 100, 1 0 2
2.373, 37.91, 46, 1 1 0
2.263, 39.83, 7, 1 1 1
2.009, 45.14, 13, 1 0 3
1.881, 48.40, 7, 0 0 4
1.724, 53.13, 6, 1 1 3
1.678, 54.69, 16, 2 0 0
1.474, 63.09, 17, 1 1 4
1.394, 67.14, 33, 2 1 2
1.252, 76.00, 7, 2 0 4

Crystal structure
```
data_ErScInOs
_space_group_name_H-M_alt 'P 4 m m'
_space_group_IT_number 99
_cell_length_a 3.3566
_cell_length_b 3.3566
_cell_length_c 7.5232
_cell_angle_alpha 90.00
_cell_angle_beta 90.00
_cell_angle_gamma 90.00
loop_
_space_group_symop_operation_xyz
'x,y,z'
'-y,x,z'
'-x,-y,z'
'y,-x,z'
'-x,y,z'
'y,x,z'
'x,-y,z'
'-y,-x,z'
loop_
_atom_site_label
_atom_site_type_symbol
_atom_site_fract_x
_atom_site_fract_y
_atom_site_fract_z
Er1 Er 0.0000 0.0000 0.0000
Sc1 Sc 0.0000 0.0000 0.5798
In1 In 0.5000 0.5000 0.3101
Os1 Os 0.5000 0.5000 0.7724
```